# 1
Structure and computed X-ray diffraction stick pattern of CdH4Rh (a GGA-PBE-relaxed structure; Cu Kα X-rays).
Intensities are scaled so that the largest is 1000.

Main lines, in order of falling intensity (10 to 90 degrees two-theta):
2θ (°), I (rel.)
37.69, 1000
18.91, 998
31.08, 873
35.16, 620
50.56, 472
48.67, 466
31.54, 409
32.88, 371
45.65, 304
64.77, 295

Cell and atoms:
```
data_CdH4Rh
_chemical_formula_sum 'Cd2 H8 Rh2'
_symmetry_space_group_name_H-M 'P 1'
_symmetry_Int_Tables_number 1
_cell_length_a 5.4906
_cell_length_b 5.4906
_cell_length_c 5.1206
_cell_angle_alpha 115.19
_cell_angle_beta 115.19
_cell_angle_gamma 95.06
loop_
_symmetry_equiv_pos_as_xyz
'x,y,z'
loop_
_atom_site_label
_atom_site_type_symbol
_atom_site_fract_x
_atom_site_fract_y
_atom_site_fract_z
Cd1 Cd 0.0946 0.9054 0.7500
Cd2 Cd 0.9054 0.0946 0.2500
H1 H 0.0253 0.5013 0.8067
H2 H 0.4502 0.5071 0.3081
H3 H 0.4929 0.5498 0.1919
H4 H 0.4987 0.9747 0.6933
H5 H 0.5013 0.0253 0.3067
H6 H 0.5071 0.4502 0.8081
H7 H 0.5498 0.4929 0.6919
H8 H 0.9747 0.4987 0.1933
Rh1 Rh 0.2513 0.7487 0.2500
Rh2 Rh 0.7487 0.2513 0.7500
```


# 2
Structure and computed X-ray diffraction stick pattern of Pr4Nd2ErTh (a GGA-PBE-relaxed structure; Cu Kα X-rays).
Intensities are scaled so that the largest is 1000.

Main lines, in order of falling intensity (10 to 90 degrees two-theta):
2θ (°), I (rel.)
31.90, 1000
29.10, 636
53.35, 354
41.62, 243
58.50, 133
53.48, 117
49.59, 73
81.63, 68
84.65, 64
66.62, 60

Cell and atoms:
```
data_Pr4Nd2ErTh
_chemical_formula_sum 'Pr4 Nd2 Er1 Th1'
_symmetry_space_group_name_H-M 'P 1'
_symmetry_Int_Tables_number 1
_cell_length_a 6.1304
_cell_length_b 6.1437
_cell_length_c 7.3537
_cell_angle_alpha 90.00
_cell_angle_beta 90.14
_cell_angle_gamma 90.00
loop_
_symmetry_equiv_pos_as_xyz
'x,y,z'
loop_
_atom_site_label
_atom_site_type_symbol
_atom_site_fract_x
_atom_site_fract_y
_atom_site_fract_z
Pr1 Pr 0.0001 0.0000 0.2451
Pr2 Pr 0.9999 0.0000 0.7549
Pr3 Pr 0.4994 0.5000 0.2445
Pr4 Pr 0.5006 0.5000 0.7555
Nd1 Nd 0.0000 0.5000 0.0000
Nd2 Nd 0.5000 0.0000 0.5000
Er1 Er 0.0000 0.5000 0.5000
Th1 Th 0.5000 0.0000 0.0000
```


# 3
Structure and computed X-ray diffraction stick pattern of RbBaZrO4 (a GGA-PBE-relaxed structure; Cu Kα X-rays).
Intensities are scaled so that the largest is 1000.

Main lines, in order of falling intensity (10 to 90 degrees two-theta):
2θ (°), I (rel.)
28.47, 1000
29.67, 618
51.91, 380
42.45, 330
49.66, 205
58.92, 168
38.89, 153
69.85, 147
61.61, 142
39.61, 133

Cell and atoms:
```
data_RbBaZrO4
_chemical_formula_sum 'Rb2 Ba2 Zr2 O8'
_symmetry_space_group_name_H-M 'P 1'
_symmetry_Int_Tables_number 1
_cell_length_a 4.2588
_cell_length_b 4.2588
_cell_length_c 13.8948
_cell_angle_alpha 90.00
_cell_angle_beta 90.00
_cell_angle_gamma 90.00
loop_
_symmetry_equiv_pos_as_xyz
'x,y,z'
loop_
_atom_site_label
_atom_site_type_symbol
_atom_site_fract_x
_atom_site_fract_y
_atom_site_fract_z
Rb1 Rb 0.0000 0.0000 0.0000
Rb2 Rb 0.5000 0.5000 0.5000
Ba1 Ba 0.0000 0.0000 0.2965
Ba2 Ba 0.5000 0.5000 0.7965
Zr1 Zr 0.0000 0.0000 0.6443
Zr2 Zr 0.5000 0.5000 0.1443
O1 O 0.0000 0.0000 0.4975
O2 O 0.0000 0.0000 0.8012
O3 O 0.0000 0.5000 0.1598
O4 O 0.0000 0.5000 0.6598
O5 O 0.5000 0.0000 0.1598
O6 O 0.5000 0.0000 0.6598
O7 O 0.5000 0.5000 0.3012
O8 O 0.5000 0.5000 0.9975
```


- Which formula does entry 2 have?
  Pr4Nd2ErTh